1.
Starting from a structure optimized by DFT (PBE), the powder XRD pattern of KCaSnBr5 was simulated for Cu Kα X-rays.
Kinematic intensities with the Lorentz-polarization factor, no thermal factor.

Structural model:
a = 7.9381 Å, b = 7.9381 Å, c = 10.8875 Å
α = 105.85°, β = 105.85°, γ = 96.18°
Sites, in units of the cell vectors:
K (0.0754, 0.9246, 0.7500)
K (0.9246, 0.0754, 0.2500)
Ca (0.0000, 0.5000, 0.0000)
Ca (0.5000, 0.0000, 0.5000)
Sn (0.4952, 0.5048, 0.7500)
Sn (0.5048, 0.4952, 0.2500)
Br (0.1796, 0.2254, 0.0720)
Br (0.2163, 0.7837, 0.2500)
Br (0.2254, 0.1796, 0.5720)
Br (0.2904, 0.6386, 0.9113)
Br (0.3614, 0.7096, 0.5887)
Br (0.6386, 0.2904, 0.4113)
Br (0.7096, 0.3614, 0.0887)
Br (0.7746, 0.8204, 0.4280)
Br (0.7837, 0.2163, 0.7500)
Br (0.8204, 0.7746, 0.9280)

Most intense lines, 10 to 90 degrees two-theta, by intensity:
- d = 3.184 Å, 28.02°, intensity 100
- d = 2.918 Å, 30.64°, intensity 63
- d = 4.918 Å, 18.04°, intensity 47
- d = 4.839 Å, 18.34°, intensity 36
- d = 3.112 Å, 28.69°, intensity 34
- d = 7.487 Å, 11.82°, intensity 33
- d = 2.419 Å, 37.16°, intensity 27
- d = 1.920 Å, 47.34°, intensity 27

---

2.
Starting from a structure optimized by DFT (PBE), the powder XRD pattern of KCa2TiBr8 was simulated for Cu Kα X-rays.
Kinematic intensities with the Lorentz-polarization factor, no thermal factor.

Structural model:
a = 6.5468 Å, b = 8.9080 Å, c = 6.8811 Å
α = 90.00°, β = 90.69°, γ = 90.00°
Sites, in units of the cell vectors:
K (0.0000, 0.0000, 0.0000)
Ca (0.5000, 0.2534, 0.5000)
Ca (0.5000, 0.7466, 0.5000)
Ti (0.0000, 0.5000, 0.0000)
Br (0.2290, 0.2967, 0.1575)
Br (0.2290, 0.7033, 0.1575)
Br (0.2460, 0.5000, 0.6841)
Br (0.2695, 0.0000, 0.6316)
Br (0.7305, 0.0000, 0.3684)
Br (0.7540, 0.5000, 0.3159)
Br (0.7710, 0.2967, 0.8425)
Br (0.7710, 0.7033, 0.8425)

Most intense lines, 10 to 90 degrees two-theta, by intensity:
- d = 3.256 Å, 27.39°, intensity 100
- d = 3.238 Å, 27.55°, intensity 95
- d = 3.030 Å, 29.48°, intensity 59
- d = 3.061 Å, 29.18°, intensity 54
- d = 2.039 Å, 44.43°, intensity 54
- d = 2.455 Å, 36.61°, intensity 51
- d = 3.273 Å, 27.25°, intensity 44
- d = 2.471 Å, 36.36°, intensity 38

---

3.
Starting from a structure optimized by DFT (PBE), the powder XRD pattern of KCaTlBr4 was simulated for Cu Kα X-rays.
Kinematic intensities with the Lorentz-polarization factor, no thermal factor.

Structural model:
a = 9.2914 Å, b = 9.2914 Å, c = 9.2914 Å
α = 144.44°, β = 144.44°, γ = 51.17°
Sites, in units of the cell vectors:
K (0.0000, 0.0000, 0.0000)
Ca (0.3612, 0.3612, 0.0000)
Tl (0.7188, 0.7188, 0.0000)
Br (0.1919, 0.1919, 0.0000)
Br (0.3677, 0.8677, 0.5000)
Br (0.5349, 0.5349, 0.0000)
Br (0.8677, 0.3677, 0.5000)

Most intense lines, 10 to 90 degrees two-theta, by intensity:
- d = 2.837 Å, 31.53°, intensity 100
- d = 3.619 Å, 24.60°, intensity 98
- d = 2.898 Å, 30.86°, intensity 93
- d = 1.991 Å, 45.57°, intensity 54
- d = 4.012 Å, 22.16°, intensity 52
- d = 1.649 Å, 55.74°, intensity 41
- d = 8.380 Å, 10.56°, intensity 40
- d = 5.375 Å, 16.49°, intensity 40

---

4.
Starting from a structure optimized by DFT (PBE), the powder XRD pattern of KCa2VBr8 was simulated for Cu Kα X-rays.
Kinematic intensities with the Lorentz-polarization factor, no thermal factor.

Structural model:
a = 6.4944 Å, b = 8.9075 Å, c = 6.8286 Å
α = 90.00°, β = 90.90°, γ = 90.00°
Sites, in units of the cell vectors:
K (0.0000, 0.0000, 0.0000)
Ca (0.5000, 0.2543, 0.5000)
Ca (0.5000, 0.7457, 0.5000)
V (0.0000, 0.5000, 0.0000)
Br (0.2291, 0.2988, 0.1538)
Br (0.2291, 0.7012, 0.1538)
Br (0.2395, 0.5000, 0.6860)
Br (0.2693, 0.0000, 0.6309)
Br (0.7307, 0.0000, 0.3691)
Br (0.7605, 0.5000, 0.3140)
Br (0.7709, 0.2988, 0.8462)
Br (0.7709, 0.7012, 0.8462)

Most intense lines, 10 to 90 degrees two-theta, by intensity:
- d = 3.247 Å, 27.47°, intensity 100
- d = 3.223 Å, 27.68°, intensity 66
- d = 3.002 Å, 29.76°, intensity 42
- d = 3.042 Å, 29.36°, intensity 41
- d = 2.439 Å, 36.86°, intensity 38
- d = 2.027 Å, 44.72°, intensity 37
- d = 2.459 Å, 36.53°, intensity 26
- d = 2.227 Å, 40.51°, intensity 18

---

5.
Starting from a structure optimized by DFT (PBE), the powder XRD pattern of CaLa2PbBr was simulated for Cu Kα X-rays.
Kinematic intensities with the Lorentz-polarization factor, no thermal factor.

Structural model:
a = 6.1639 Å, b = 6.1639 Å, c = 5.1441 Å
α = 90.00°, β = 90.00°, γ = 90.00°
Sites, in units of the cell vectors:
Ca (0.0000, 0.0000, 0.0000)
La (0.0000, 0.5000, 0.0000)
La (0.5000, 0.0000, 0.0000)
Pb (0.5000, 0.5000, 0.5000)
Br (0.0000, 0.0000, 0.5000)

Most intense lines, 10 to 90 degrees two-theta, by intensity:
- d = 3.325 Å, 26.81°, intensity 100
- d = 3.082 Å, 28.97°, intensity 56
- d = 1.823 Å, 50.04°, intensity 37
- d = 1.975 Å, 45.96°, intensity 32
- d = 2.179 Å, 41.43°, intensity 21
- d = 1.663 Å, 55.25°, intensity 18
- d = 2.572 Å, 34.88°, intensity 17
- d = 3.949 Å, 22.51°, intensity 15

---

6.
Starting from a structure optimized by DFT (PBE), the powder XRD pattern of CaLa2Se2Br2 was simulated for Cu Kα X-rays.
Kinematic intensities with the Lorentz-polarization factor, no thermal factor.

Structural model:
a = 8.6405 Å, b = 8.6405 Å, c = 8.6405 Å
α = 142.83°, β = 142.83°, γ = 53.59°
Sites, in units of the cell vectors:
Ca (0.0000, 0.0000, 0.0000)
La (0.3950, 0.3950, 0.0000)
La (0.6050, 0.6050, 0.0000)
Se (0.0000, 0.5000, 0.5000)
Se (0.5000, 0.0000, 0.5000)
Br (0.1930, 0.1930, 0.0000)
Br (0.8070, 0.8070, 0.0000)

Most intense lines, 10 to 90 degrees two-theta, by intensity:
- d = 2.692 Å, 33.29°, intensity 100
- d = 2.754 Å, 32.51°, intensity 98
- d = 1.925 Å, 47.21°, intensity 75
- d = 3.895 Å, 22.83°, intensity 61
- d = 2.740 Å, 32.68°, intensity 52
- d = 1.947 Å, 46.64°, intensity 35
- d = 7.713 Å, 11.47°, intensity 31
- d = 5.187 Å, 17.09°, intensity 30

---

7.
Starting from a structure optimized by DFT (PBE), the powder XRD pattern of CaLaTeBr was simulated for Cu Kα X-rays.
Kinematic intensities with the Lorentz-polarization factor, no thermal factor.

Structural model:
a = 9.3219 Å, b = 9.3219 Å, c = 9.3219 Å
α = 26.12°, β = 26.12°, γ = 26.12°
Sites, in units of the cell vectors:
Ca (0.0000, 0.0000, 0.0000)
La (0.4824, 0.4824, 0.4824)
Te (0.7364, 0.7364, 0.7364)
Br (0.5959, 0.5959, 0.5959)

Most intense lines, 10 to 90 degrees two-theta, by intensity:
- d = 3.616 Å, 24.62°, intensity 100
- d = 2.477 Å, 36.26°, intensity 85
- d = 3.210 Å, 27.79°, intensity 71
- d = 2.651 Å, 33.82°, intensity 62
- d = 2.107 Å, 42.93°, intensity 62
- d = 1.605 Å, 57.42°, intensity 22
- d = 3.522 Å, 25.29°, intensity 21
- d = 1.277 Å, 74.30°, intensity 20

---

8.
Starting from a structure optimized by DFT (PBE), the powder XRD pattern of CaLaTeBr was simulated for Cu Kα X-rays.
Kinematic intensities with the Lorentz-polarization factor, no thermal factor.

Structural model:
a = 4.6745 Å, b = 4.3458 Å, c = 6.2578 Å
α = 90.00°, β = 97.05°, γ = 90.00°
Sites, in units of the cell vectors:
Ca (0.0000, 0.0000, 0.0000)
La (0.5004, 0.5000, 0.5024)
Te (0.0002, 0.0000, 0.5002)
Br (0.4994, 0.5000, 0.0021)

Most intense lines, 10 to 90 degrees two-theta, by intensity:
- d = 3.172 Å, 28.14°, intensity 100
- d = 2.319 Å, 38.84°, intensity 62
- d = 3.105 Å, 28.75°, intensity 47
- d = 2.131 Å, 42.41°, intensity 32
- d = 6.211 Å, 14.26°, intensity 29
- d = 1.780 Å, 51.32°, intensity 18
- d = 2.173 Å, 41.56°, intensity 17
- d = 1.382 Å, 67.79°, intensity 17

---

9.
Starting from a structure optimized by DFT (PBE), the powder XRD pattern of LiCaBr2 was simulated for Cu Kα X-rays.
Kinematic intensities with the Lorentz-polarization factor, no thermal factor.

Structural model:
a = 4.2073 Å, b = 3.7845 Å, c = 8.1066 Å
α = 90.00°, β = 102.84°, γ = 90.00°
Sites, in units of the cell vectors:
Li (0.0000, 0.0000, 0.0000)
Ca (0.0000, 0.0000, 0.5000)
Br (0.1356, 0.5000, 0.7949)
Br (0.8644, 0.5000, 0.2051)

Most intense lines, 10 to 90 degrees two-theta, by intensity:
- d = 4.102 Å, 21.66°, intensity 100
- d = 2.733 Å, 32.76°, intensity 97
- d = 2.455 Å, 36.60°, intensity 86
- d = 2.508 Å, 35.80°, intensity 75
- d = 4.025 Å, 22.08°, intensity 62
- d = 3.784 Å, 23.51°, intensity 44
- d = 3.413 Å, 26.11°, intensity 36
- d = 2.635 Å, 34.03°, intensity 32

---

10.
Starting from a structure optimized by DFT (PBE), the powder XRD pattern of Li2CaBrN was simulated for Cu Kα X-rays.
Kinematic intensities with the Lorentz-polarization factor, no thermal factor.

Structural model:
a = 4.2067 Å, b = 4.2067 Å, c = 4.8056 Å
α = 90.00°, β = 90.00°, γ = 90.00°
Sites, in units of the cell vectors:
Li (0.0000, 0.5000, 0.0000)
Li (0.5000, 0.0000, 0.0000)
Ca (0.0000, 0.0000, 0.5000)
Br (0.5000, 0.5000, 0.5000)
N (0.0000, 0.0000, 0.0000)

Most intense lines, 10 to 90 degrees two-theta, by intensity:
- d = 2.529 Å, 35.49°, intensity 100
- d = 4.806 Å, 18.46°, intensity 90
- d = 2.975 Å, 30.04°, intensity 89
- d = 2.103 Å, 43.00°, intensity 42
- d = 1.869 Å, 48.72°, intensity 42
- d = 3.165 Å, 28.19°, intensity 37
- d = 1.583 Å, 58.30°, intensity 32
- d = 2.403 Å, 37.43°, intensity 32

---

11.
Starting from a structure optimized by DFT (PBE), the powder XRD pattern of LiCaSi2Br was simulated for Cu Kα X-rays.
Kinematic intensities with the Lorentz-polarization factor, no thermal factor.

Structural model:
a = 5.5967 Å, b = 5.5967 Å, c = 5.5960 Å
α = 90.00°, β = 90.00°, γ = 90.00°
Sites, in units of the cell vectors:
Li (0.0000, 0.0000, 0.0000)
Ca (0.5000, 0.5000, 0.5000)
Si (0.0000, 0.5000, 0.5000)
Si (0.5000, 0.0000, 0.5000)
Br (0.5000, 0.5000, 0.0000)

Most intense lines, 10 to 90 degrees two-theta, by intensity:
- d = 5.597 Å, 15.83°, intensity 100
- d = 2.798 Å, 31.98°, intensity 63
- d = 2.503 Å, 35.88°, intensity 50
- d = 1.979 Å, 45.86°, intensity 44
- d = 3.231 Å, 27.61°, intensity 37
- d = 1.865 Å, 48.82°, intensity 25
- d = 3.957 Å, 22.47°, intensity 22
- d = 1.251 Å, 76.06°, intensity 19

---

12.
Starting from a structure optimized by DFT (PBE), the powder XRD pattern of Li2CaUBr8 was simulated for Cu Kα X-rays.
Kinematic intensities with the Lorentz-polarization factor, no thermal factor.

Structural model:
a = 7.0394 Å, b = 7.2433 Å, c = 8.6820 Å
α = 73.62°, β = 89.74°, γ = 77.29°
Sites, in units of the cell vectors:
Li (0.0471, 0.1421, 0.3292)
Li (0.9529, 0.8579, 0.6708)
Ca (0.5000, 0.5000, 0.5000)
U (0.5000, 0.5000, 0.0000)
Br (0.1250, 0.7684, 0.4395)
Br (0.1377, 0.7531, 0.9480)
Br (0.3775, 0.2705, 0.2946)
Br (0.3800, 0.2849, 0.8140)
Br (0.6200, 0.7151, 0.1860)
Br (0.6225, 0.7295, 0.7054)
Br (0.8623, 0.2469, 0.0520)
Br (0.8750, 0.2316, 0.5605)

Most intense lines, 10 to 90 degrees two-theta, by intensity:
- d = 3.052 Å, 29.26°, intensity 100
- d = 3.012 Å, 29.66°, intensity 90
- d = 2.810 Å, 31.85°, intensity 83
- d = 5.474 Å, 16.19°, intensity 77
- d = 6.766 Å, 13.08°, intensity 68
- d = 6.854 Å, 12.92°, intensity 59
- d = 2.170 Å, 41.61°, intensity 46
- d = 8.314 Å, 10.64°, intensity 45

---

Copy entry 6 word for word.
Starting from a structure optimized by DFT (PBE), the powder XRD pattern of CaLa2Se2Br2 was simulated for Cu Kα X-rays.
Kinematic intensities with the Lorentz-polarization factor, no thermal factor.

Structural model:
a = 8.6405 Å, b = 8.6405 Å, c = 8.6405 Å
α = 142.83°, β = 142.83°, γ = 53.59°
Sites, in units of the cell vectors:
Ca (0.0000, 0.0000, 0.0000)
La (0.3950, 0.3950, 0.0000)
La (0.6050, 0.6050, 0.0000)
Se (0.0000, 0.5000, 0.5000)
Se (0.5000, 0.0000, 0.5000)
Br (0.1930, 0.1930, 0.0000)
Br (0.8070, 0.8070, 0.0000)

Most intense lines, 10 to 90 degrees two-theta, by intensity:
- d = 2.692 Å, 33.29°, intensity 100
- d = 2.754 Å, 32.51°, intensity 98
- d = 1.925 Å, 47.21°, intensity 75
- d = 3.895 Å, 22.83°, intensity 61
- d = 2.740 Å, 32.68°, intensity 52
- d = 1.947 Å, 46.64°, intensity 35
- d = 7.713 Å, 11.47°, intensity 31
- d = 5.187 Å, 17.09°, intensity 30

---

What did the second record say?
Starting from a structure optimized by DFT (PBE), the powder XRD pattern of KCa2TiBr8 was simulated for Cu Kα X-rays.
Kinematic intensities with the Lorentz-polarization factor, no thermal factor.

Structural model:
a = 6.5468 Å, b = 8.9080 Å, c = 6.8811 Å
α = 90.00°, β = 90.69°, γ = 90.00°
Sites, in units of the cell vectors:
K (0.0000, 0.0000, 0.0000)
Ca (0.5000, 0.2534, 0.5000)
Ca (0.5000, 0.7466, 0.5000)
Ti (0.0000, 0.5000, 0.0000)
Br (0.2290, 0.2967, 0.1575)
Br (0.2290, 0.7033, 0.1575)
Br (0.2460, 0.5000, 0.6841)
Br (0.2695, 0.0000, 0.6316)
Br (0.7305, 0.0000, 0.3684)
Br (0.7540, 0.5000, 0.3159)
Br (0.7710, 0.2967, 0.8425)
Br (0.7710, 0.7033, 0.8425)

Most intense lines, 10 to 90 degrees two-theta, by intensity:
- d = 3.256 Å, 27.39°, intensity 100
- d = 3.238 Å, 27.55°, intensity 95
- d = 3.030 Å, 29.48°, intensity 59
- d = 3.061 Å, 29.18°, intensity 54
- d = 2.039 Å, 44.43°, intensity 54
- d = 2.455 Å, 36.61°, intensity 51
- d = 3.273 Å, 27.25°, intensity 44
- d = 2.471 Å, 36.36°, intensity 38